No. 1
Diffraction record for Zr3Pt4Au4. The X-ray diffraction stick pattern is computed, not measured: it uses DFT lattice parameters and positions (GGA-PBE) and Cu Kα, 1.54184 Å.
Kinematic intensities with the Lorentz-polarization factor, no thermal factor.

Structural model:
Lattice parameters (Å, degrees): 5.6603 5.6603 13.8878 90.00 90.00 90.00
Space group I-42m (No. 121)
Symmetry-distinct sites (fractional):
Zr (0.0000, 0.0000, 0.0000) (multiplicity 2)
Zr (0.0000, 0.5000, 0.2500) (multiplicity 4)
Pt (0.0000, 0.0000, 0.1983) (multiplicity 4)
Pt (0.0000, 0.5000, 0.0000) (multiplicity 4)
Au (0.1696, 0.1696, 0.6190) (multiplicity 8)

Largest 8 diffraction maxima, by angle, 2θ from 5° to 70°:
2θ (°)	I_rel	hkl
25.69	100.0	1 1 2
34.19	30.0	1 1 4
36.04	98.8	1 0 5
40.62	39.4	2 1 3
41.15	78.9	2 0 4
45.30	49.8	2 2 0
48.68	41.9	3 0 1
52.79	27.4	0 0 8

No. 2
Diffraction record for Li2La2In2CuAu. The X-ray diffraction stick pattern is computed, not measured: it uses DFT lattice parameters and positions (GGA-PBE) and Cu Kα, 1.54184 Å.
Kinematic intensities with the Lorentz-polarization factor, no thermal factor.

Structural model:
Lattice parameters (Å, degrees): 4.9466 4.9466 7.0411 90.00 90.00 90.00
Space group P-4m2 (No. 115)
Symmetry-distinct sites (fractional):
Li (0.0000, 0.0000, 0.0000) (multiplicity 1)
Li (0.5000, 0.5000, 0.5000) (multiplicity 1)
La (0.0000, 0.5000, 0.7431) (multiplicity 2)
In (0.0000, 0.5000, 0.2581) (multiplicity 2)
Cu (0.0000, 0.0000, 0.5000) (multiplicity 1)
Au (0.5000, 0.5000, 0.0000) (multiplicity 1)

Largest 8 diffraction maxima, by angle, 2θ from 5° to 70°:
2θ (°)	I_rel	hkl
21.96	38.7	1 0 1
25.47	11.0	1 1 0
36.20	100.0	1 1 2
36.32	49.8	2 0 0
42.85	13.9	2 1 1
52.31	17.3	2 2 0
65.03	17.4	2 0 4
65.27	35.0	3 1 2

No. 3
Diffraction record for AlAgF6. The X-ray diffraction stick pattern is computed, not measured: it uses DFT lattice parameters and positions (GGA-PBE) and Cu Kα, 1.54184 Å.
Kinematic intensities with the Lorentz-polarization factor, no thermal factor.

Structural model:
Lattice parameters (Å, degrees): 7.1167 7.1167 7.1167 90.00 90.00 90.00
Space group F-43m (No. 216)
Symmetry-distinct sites (fractional):
Al (0.0000, 0.0000, 0.0000) (multiplicity 4)
Ag (0.2500, 0.2500, 0.2500) (multiplicity 4)
F (0.0000, 0.0000, 0.2492) (multiplicity 24)

Largest 8 diffraction maxima, by angle, 2θ from 5° to 70°:
2θ (°)	I_rel	hkl
21.63	100.0	1 1 1
35.68	30.6	2 2 0
42.11	50.8	3 1 1
44.08	43.5	2 2 2
51.35	31.6	4 0 0
56.35	20.5	3 3 1
64.10	11.7	4 2 2
68.51	14.9	5 1 1

No. 4
Diffraction record for ErGeSb. The X-ray diffraction stick pattern is computed, not measured: it uses DFT lattice parameters and positions (GGA-PBE) and Cu Kα, 1.54184 Å.
Kinematic intensities with the Lorentz-polarization factor, no thermal factor.

Structural model:
Lattice parameters (Å, degrees): 7.0403 7.0403 7.0403 90.00 90.00 90.00
Space group F-43m (No. 216)
Symmetry-distinct sites (fractional):
Er (0.0000, 0.0000, 0.0000) (multiplicity 4)
Ge (0.0000, 0.0000, 0.5000) (multiplicity 4)
Sb (0.2500, 0.2500, 0.2500) (multiplicity 4)

Largest 8 diffraction maxima, by angle, 2θ from 5° to 70°:
2θ (°)	I_rel	hkl
21.87	41.6	1 1 1
25.30	13.7	2 0 0
36.08	100.0	2 2 0
42.59	21.8	3 1 1
51.95	17.5	4 0 0
57.02	9.2	3 3 1
64.88	35.7	4 2 2
69.36	6.8	5 1 1

No. 5
Diffraction record for Ta5Al. The X-ray diffraction stick pattern is computed, not measured: it uses DFT lattice parameters and positions (GGA-PBE) and Cu Kα, 1.54184 Å.
Kinematic intensities with the Lorentz-polarization factor, no thermal factor.

Structural model:
Lattice parameters (Å, degrees): 5.3169 5.3169 8.8824 90.00 90.00 120.00
Space group P6_3/mmc (No. 194)
Symmetry-distinct sites (fractional):
Ta (0.1696, 0.3392, 0.2500) (multiplicity 6)
Ta (0.3333, 0.6667, 0.5609) (multiplicity 4)
Al (0.0000, 0.0000, 0.0000) (multiplicity 2)

Largest 8 diffraction maxima, by angle, 2θ from 5° to 70°:
2θ (°)	I_rel	hkl
19.99	18.6	0 0 2
27.91	25.5	1 0 2
36.07	80.4	1 0 3
39.13	28.8	2 0 0
39.51	68.2	1 1 2
40.47	100.0	2 0 1
61.84	31.1	2 1 3
66.48	39.8	2 0 5

No. 6
Diffraction record for DyReB4. The X-ray diffraction stick pattern is computed, not measured: it uses DFT lattice parameters and positions (GGA-PBE) and Cu Kα, 1.54184 Å.
Kinematic intensities with the Lorentz-polarization factor, no thermal factor.

Structural model:
Lattice parameters (Å, degrees): 5.9638 11.5379 3.6091 90.00 90.00 90.00
Space group Pbam (No. 55)
Symmetry-distinct sites (fractional):
Dy (0.1263, 0.1504, 0.0000) (multiplicity 4)
Re (0.1328, 0.4129, 0.0000) (multiplicity 4)
B (0.0231, 0.6922, 0.5000) (multiplicity 4)
B (0.1141, 0.5474, 0.5000) (multiplicity 4)
B (0.1362, 0.9684, 0.5000) (multiplicity 4)
B (0.2125, 0.8151, 0.5000) (multiplicity 4)

Largest 8 diffraction maxima, by angle, 2θ from 5° to 70°:
2θ (°)	I_rel	hkl
24.67	97.9	0 0 1
30.98	84.3	0 4 0
34.54	26.0	1 4 0
38.19	33.4	2 3 0
40.00	100.0	0 4 1
42.91	33.6	1 4 1
46.00	45.3	2 3 1
60.51	26.0	0 4 2

No. 7
Diffraction record for SmH4NCl4. The X-ray diffraction stick pattern is computed, not measured: it uses DFT lattice parameters and positions (GGA-PBE) and Cu Kα, 1.54184 Å.
Kinematic intensities with the Lorentz-polarization factor, no thermal factor.

Structural model:
Lattice parameters (Å, degrees): 7.1856 7.1856 13.9224 90.00 90.00 90.00
Space group I4_1/a (No. 88, origin choice 2)
Symmetry-distinct sites (fractional):
Sm (0.0000, 0.2500, 0.1250) (multiplicity 4)
H (0.0818, 0.1639, 0.6673) (multiplicity 16)
N (0.0000, 0.2500, 0.6250) (multiplicity 4)
Cl (0.2163, 0.0285, 0.2320) (multiplicity 16)

Largest 8 diffraction maxima, by angle, 2θ from 5° to 70°:
2θ (°)	I_rel	hkl
13.87	100.0	1 0 1
21.65	96.1	1 1 2
22.81	20.4	1 0 3
28.51	23.4	2 1 1
33.93	23.9	1 2 3
35.33	38.4	2 2 0
35.92	71.5	2 0 4
41.82	29.8	3 1 2

No. 8
Diffraction record for RbZrZnS3. The X-ray diffraction stick pattern is computed, not measured: it uses DFT lattice parameters and positions (GGA-PBE) and Cu Kα, 1.54184 Å.
Kinematic intensities with the Lorentz-polarization factor, no thermal factor.

Structural model:
Lattice parameters (Å, degrees): 8.9152 3.7872 9.5197 90.00 112.17 90.00
Space group P2_1/m (No. 11)
Symmetry-distinct sites (fractional):
Rb (0.2068, 0.2500, 0.2389) (multiplicity 2)
Zr (0.3517, 0.7500, 0.8745) (multiplicity 2)
Zn (0.0872, 0.2500, 0.6110) (multiplicity 2)
S (0.1349, 0.2500, 0.8654) (multiplicity 2)
S (0.2063, 0.7500, 0.5470) (multiplicity 2)
S (0.4684, 0.7500, 0.1641) (multiplicity 2)

Largest 8 diffraction maxima, by angle, 2θ from 5° to 70°:
2θ (°)	I_rel	hkl
11.59	100.0	1 0 -1
23.31	39.5	2 0 -2
30.36	32.6	0 0 3
31.07	79.5	2 1 -1
32.07	67.9	2 1 0
36.11	43.7	1 0 3
36.96	28.8	1 1 -3
45.47	26.0	2 1 -4

No. 9
Diffraction record for PrTl2. The X-ray diffraction stick pattern is computed, not measured: it uses DFT lattice parameters and positions (GGA-PBE) and Cu Kα, 1.54184 Å.
Kinematic intensities with the Lorentz-polarization factor, no thermal factor.

Structural model:
Lattice parameters (Å, degrees): 8.7970 8.7970 8.7970 90.00 90.00 90.00
Space group Fd-3m (No. 227, origin choice 2)
Symmetry-distinct sites (fractional):
Pr (0.1250, 0.1250, 0.1250) (multiplicity 8)
Tl (0.0000, 0.0000, 0.5000) (multiplicity 16)

Largest 8 diffraction maxima, by angle, 2θ from 5° to 70°:
2θ (°)	I_rel	hkl
17.46	17.6	1 1 1
28.70	17.2	2 2 0
33.79	100.0	3 1 1
35.34	52.4	2 2 2
41.04	10.9	4 0 0
50.85	7.1	4 2 2
54.18	35.3	5 1 1
59.44	32.8	4 4 0

Please write out number 3 again, unchanged.
Diffraction record for AlAgF6. The X-ray diffraction stick pattern is computed, not measured: it uses DFT lattice parameters and positions (GGA-PBE) and Cu Kα, 1.54184 Å.
Kinematic intensities with the Lorentz-polarization factor, no thermal factor.

Structural model:
Lattice parameters (Å, degrees): 7.1167 7.1167 7.1167 90.00 90.00 90.00
Space group F-43m (No. 216)
Symmetry-distinct sites (fractional):
Al (0.0000, 0.0000, 0.0000) (multiplicity 4)
Ag (0.2500, 0.2500, 0.2500) (multiplicity 4)
F (0.0000, 0.0000, 0.2492) (multiplicity 24)

Largest 8 diffraction maxima, by angle, 2θ from 5° to 70°:
2θ (°)	I_rel	hkl
21.63	100.0	1 1 1
35.68	30.6	2 2 0
42.11	50.8	3 1 1
44.08	43.5	2 2 2
51.35	31.6	4 0 0
56.35	20.5	3 3 1
64.10	11.7	4 2 2
68.51	14.9	5 1 1